Record 1
Starting from DFT lattice parameters and positions (GGA-PBE), the XRD peak list of K2Tl3InAu4 was calculated for CuKα.
Intensities are scaled so that the largest is 100.

Structural model:
abc: 5.097 5.097 11.179
angles: 90.00 90.00 90.00
Space group P-4m2 (No. 115)
Asymmetric unit:
K 0.000 0.500 0.236
Tl 0.000 0.500 0.875
Tl 0.500 0.500 0.500
In 0.000 0.000 0.500
Au 0.000 0.000 0.000
Au 0.000 0.500 0.620
Au 0.500 0.500 0.000

Top 10 peaks for 2θ from 10° to 80°, low angle first:
(0 0 2), 2θ 15.86, intensity 52.8; (1 0 1), 2θ 19.14, intensity 73.2; (1 1 2), 2θ 29.49, intensity 69.0; (1 0 3), 2θ 29.70, intensity 51.3; (2 0 0), 2θ 35.22, intensity 92.3; (2 0 2), 2θ 38.84, intensity 24.4; (1 1 4), 2θ 40.86, intensity 100.0; (2 1 3), 2θ 46.72, intensity 29.7; (2 2 0), 2θ 50.66, intensity 33.1; (0 0 8), 2θ 67.02, intensity 54.5

Record 2
Starting from DFT lattice parameters and positions (GGA-PBE), the XRD peak list of Zr5Zn2Pb was calculated for CuKα.
Intensities are scaled so that the largest is 100.

Structural model:
abc: 7.369 7.369 12.624
angles: 90.00 90.00 90.00
Space group I4/mcm (No. 140)
Asymmetric unit:
Zr 0.000 0.000 0.000
Zr 0.155 0.345 0.151
Zn 0.136 0.364 0.500
Pb 0.000 0.000 0.250

Top 10 peaks for 2θ from 10° to 80°, low angle first:
(1 1 2), 2θ 22.12, intensity 18.2; (1 1 4), 2θ 33.19, intensity 42.1; (2 2 0), 2θ 34.42, intensity 21.4; (2 1 3), 2θ 34.57, intensity 100.0; (2 0 4), 2θ 37.52, intensity 41.2; (3 1 0), 2θ 38.64, intensity 85.8; (4 2 0), 2θ 55.79, intensity 15.1; (3 3 4), 2θ 60.88, intensity 15.4; (3 1 8), 2θ 72.32, intensity 15.0; (4 4 0), 2θ 72.63, intensity 22.9

Record 3
Starting from DFT lattice parameters and positions (GGA-PBE), the XRD peak list of AcPaNbN4 was calculated for CuKα.
Intensities are scaled so that the largest is 100.

Structural model:
abc: 5.732 12.863 5.822
angles: 90.00 90.00 90.00
Space group Cmcm (No. 63)
Asymmetric unit:
Ac 0.000 0.106 0.250
Pa 0.000 0.390 0.250
Nb 0.000 0.236 0.750
N 0.000 0.084 0.750
N 0.000 0.448 0.750
N 0.250 0.250 0.000

Top 10 peaks for 2θ from 10° to 80°, low angle first:
(1 1 1), 2θ 22.84, intensity 26.0; (1 3 1), 2θ 30.22, intensity 100.0; (0 0 2), 2θ 30.71, intensity 32.5; (2 0 0), 2θ 31.21, intensity 31.2; (0 6 0), 2θ 42.20, intensity 18.5; (2 0 2), 2θ 44.36, intensity 28.6; (0 6 2), 2θ 53.10, intensity 14.6; (1 3 3), 2θ 54.30, intensity 20.3; (3 3 1), 2θ 54.92, intensity 19.7; (2 0 4), 2θ 72.90, intensity 14.3